The following is a theoretical powder XRD pattern of AgMoH4Se4N. It was derived from a structure optimized by DFT (PBE), using a wavelength of 1.5418 Å.
Neutral-atom scattering factors, no anomalous dispersion.

Atomic structure:
Cell: 5.9483 6.5512 6.6837 Å, 75.48 63.67 63.60°
Space group P1 (No. 1)
Asymmetric unit:
1 Ag 0.0000 0.0000 0.0000
2 Mo 0.4979 0.9979 0.0053
3 H 0.6190 0.4194 0.5703
4 H 0.6317 0.6705 0.5843
5 H 0.7906 0.5503 0.3348
6 H 0.9122 0.4251 0.5417
7 Se 0.1674 0.9072 0.3281
8 Se 0.4096 0.0903 0.6726
9 Se 0.5125 0.3223 0.0799
10 Se 0.9060 0.6687 0.9392
11 N 0.7383 0.5156 0.5083

Most intense lines, 10 to 80 degrees two-theta, in order of falling intensity:
two_theta  d (Å)  I/Imax
14.82  5.977  100
15.13  5.855  89
28.42  3.141  62
27.80  3.209  35
28.07  3.179  34
46.57  1.950  31
45.15  2.008  24
33.66  2.663  23
44.88  2.020  20
48.07  1.893  20
47.00  1.933  19
37.64  2.390  17


The following is a theoretical powder XRD pattern of Ag2H6PdS2N2O6. It was derived from a structure optimized by DFT (PBE), using a wavelength of 1.5418 Å.
Neutral-atom scattering factors, no anomalous dispersion.

Atomic structure:
Cell: 6.9302 5.8451 10.2627 Å, 90.00 108.04 90.00°
Space group P2_1/c (No. 14)
Asymmetric unit:
1 Ag 0.0753 0.2199 0.3540
2 H 0.2993 0.0634 0.6807
3 H 0.3493 0.1842 0.1240
4 H 0.4688 0.6698 0.7594
5 Pd 0.5000 0.0000 0.5000
6 S 0.2517 0.7249 0.4675
7 N 0.4072 0.1546 0.6535
8 O 0.0478 0.6658 0.8923
9 O 0.2393 0.6360 0.6023
10 O 0.2859 0.5303 0.3821

Most intense lines, 10 to 80 degrees two-theta, in order of falling intensity:
two_theta  d (Å)  I/Imax
18.99  4.674  100
30.12  2.967  81
33.54  2.672  68
41.65  2.168  59
34.88  2.572  38
23.75  3.746  38
17.69  5.014  38
44.04  2.056  31
35.05  2.561  27
38.38  2.345  26
27.58  3.234  26
18.18  4.879  24


The following is a theoretical powder XRD pattern of AgH2SO5. It was derived from a structure optimized by DFT (PBE), using a wavelength of 1.5418 Å.
Neutral-atom scattering factors, no anomalous dispersion.

Atomic structure:
Cell: 5.1224 5.3017 7.7139 Å, 105.90 105.94 92.65°
Space group P-1 (No. 2)
Asymmetric unit:
1 Ag 0.0000 0.0000 0.0000
2 Ag 0.5000 0.0000 0.5000
3 H 0.0183 0.2425 0.6794
4 H 0.1911 0.6224 0.2198
5 S 0.3825 0.6596 0.7624
6 O 0.1334 0.8008 0.2703
7 O 0.2553 0.4076 0.6172
8 O 0.2865 0.6984 0.9309
9 O 0.3128 0.3419 0.1839
10 O 0.3149 0.8934 0.6918

Most intense lines, 10 to 80 degrees two-theta, in order of falling intensity:
two_theta  d (Å)  I/Imax
26.07  3.418  100
26.71  3.338  98
25.07  3.552  93
17.55  5.055  71
34.22  2.620  56
18.74  4.735  53
37.00  2.430  44
38.30  2.350  41
24.82  3.587  41
37.03  2.428  31
38.80  2.321  29
50.23  1.816  21


The following is a theoretical powder XRD pattern of Ag5H6Pb2. It was derived from a structure optimized by DFT (PBE), using a wavelength of 1.5418 Å.
Neutral-atom scattering factors, no anomalous dispersion.

Atomic structure:
Cell: 5.8220 5.8220 6.2426 Å, 90.00 90.00 120.00°
Space group P-31m (No. 162)
Asymmetric unit:
1 Ag 0.0000 0.0000 0.2458
2 Ag 0.0000 0.5000 0.0000
3 H 0.0000 0.3157 0.2308
4 Pb 0.3333 0.6667 0.5000

Most intense lines, 10 to 80 degrees two-theta, in order of falling intensity:
two_theta  d (Å)  I/Imax
33.77  2.654  100
33.98  2.638  89
38.51  2.338  71
30.71  2.911  58
56.59  1.627  44
54.18  1.693  26
63.97  1.455  24
28.60  3.121  23
56.72  1.623  21
57.42  1.605  20
74.33  1.276  20
35.61  2.521  19


The following is a theoretical powder XRD pattern of AgH6PbW. It was derived from a structure optimized by DFT (PBE), using a wavelength of 1.5418 Å.
Neutral-atom scattering factors, no anomalous dispersion.

Atomic structure:
Cell: 6.9805 6.9805 6.9805 Å, 90.00 90.00 90.00°
Space group F-43m (No. 216)
Asymmetric unit:
1 Ag 0.0000 0.0000 0.0000
2 H 0.0000 0.0000 0.2765
3 Pb 0.2500 0.2500 0.2500
4 W 0.2500 0.2500 0.7500

Most intense lines, 10 to 80 degrees two-theta, in order of falling intensity:
two_theta  d (Å)  I/Imax
36.40  2.468  100
65.51  1.425  36
25.52  3.490  36
52.43  1.745  18
59.19  1.561  16
22.06  4.030  13
44.99  2.015  12
77.33  1.234  12
42.97  2.105  7
57.55  1.601  3
70.04  1.343  2